Tl2In3Hg9: simulated powder X-ray diffraction pattern (λ = 1.5418 Å (Cu Kα)), based on a cell relaxed with GGA-PBE.
Neutral-atom scattering factors, no anomalous dispersion.

Largest 10 diffraction maxima, sorted by position, 2θ from 5° to 70°:
2θ/deg	I (rel.)
26.33	46
27.96	52
28.11	57
30.85	100
33.88	63
34.24	41
34.72	61
38.46	62
44.87	42
48.94	25

Structure:
a b c (Å): 8.000 8.000 15.873
angles (deg): 90.00 90.00 120.00
Fractional coordinates of all 28 atoms:
1 Tl 0.333 0.667 0.070
2 Tl 0.333 0.667 0.430
3 Tl 0.667 0.333 0.570
4 Tl 0.667 0.333 0.930
5 In 0.049 0.802 0.750
6 In 0.198 0.248 0.750
7 In 0.248 0.049 0.250
8 In 0.752 0.951 0.750
9 In 0.802 0.752 0.250
10 In 0.951 0.198 0.250
11 Hg 0.073 0.606 0.250
12 Hg 0.100 0.779 0.567
13 Hg 0.100 0.779 0.933
14 Hg 0.221 0.321 0.567
15 Hg 0.221 0.321 0.933
16 Hg 0.321 0.100 0.067
17 Hg 0.321 0.100 0.433
18 Hg 0.394 0.467 0.250
19 Hg 0.467 0.073 0.750
20 Hg 0.533 0.927 0.250
21 Hg 0.606 0.533 0.750
22 Hg 0.679 0.900 0.567
23 Hg 0.679 0.900 0.933
24 Hg 0.779 0.679 0.067
25 Hg 0.779 0.679 0.433
26 Hg 0.900 0.221 0.067
27 Hg 0.900 0.221 0.433
28 Hg 0.927 0.394 0.750


Tl4In6Hg: simulated powder X-ray diffraction pattern (λ = 1.5418 Å (Cu Kα)), based on a cell relaxed with GGA-PBE.
Neutral-atom scattering factors, no anomalous dispersion.

Largest 10 diffraction maxima, sorted by position, 2θ from 5° to 70°:
2θ/deg	I (rel.)
18.63	14
29.45	22
31.45	18
32.37	26
32.56	100
33.75	35
37.61	15
40.00	19
50.58	14
62.59	13

Structure:
a b c (Å): 11.000 11.000 6.398
angles (deg): 90.00 90.00 119.98
Fractional coordinates of all 22 atoms:
1 Tl 0.149 0.297 0.501
2 Tl 0.149 0.851 0.500
3 Tl 0.297 0.149 0.001
4 Tl 0.333 0.667 0.320
5 Tl 0.667 0.333 0.820
6 Tl 0.703 0.851 0.501
7 Tl 0.851 0.149 0.000
8 Tl 0.851 0.703 0.001
9 In 0.010 0.505 0.722
10 In 0.187 0.375 0.004
11 In 0.187 0.813 0.003
12 In 0.375 0.187 0.504
13 In 0.495 0.505 0.724
14 In 0.495 0.990 0.722
15 In 0.505 0.010 0.222
16 In 0.505 0.495 0.224
17 In 0.625 0.813 0.004
18 In 0.813 0.187 0.503
19 In 0.813 0.625 0.504
20 In 0.990 0.495 0.222
21 Hg 0.334 0.666 0.797
22 Hg 0.666 0.334 0.297


TlIn4Hg15: simulated powder X-ray diffraction pattern (λ = 1.5418 Å (Cu Kα)), based on a cell relaxed with GGA-PBE.
Neutral-atom scattering factors, no anomalous dispersion.

Largest 10 diffraction maxima, sorted by position, 2θ from 5° to 70°:
2θ/deg	I (rel.)
17.02	2
24.16	1
28.18	1
33.11	100
34.43	46
45.50	10
49.48	17
58.28	19
60.84	35
69.48	12

Structure:
a b c (Å): 5.210 5.210 19.934
angles (deg): 90.00 90.00 90.00
Fractional coordinates of all 20 atoms:
1 Tl 0.000 0.000 0.000
2 In 0.000 0.000 0.205
3 In 0.000 0.000 0.401
4 In 0.000 0.000 0.599
5 In 0.000 0.000 0.795
6 Hg 0.000 0.500 0.105
7 Hg 0.000 0.500 0.303
8 Hg 0.000 0.500 0.500
9 Hg 0.000 0.500 0.697
10 Hg 0.000 0.500 0.895
11 Hg 0.500 0.000 0.105
12 Hg 0.500 0.000 0.303
13 Hg 0.500 0.000 0.500
14 Hg 0.500 0.000 0.697
15 Hg 0.500 0.000 0.895
16 Hg 0.500 0.500 0.000
17 Hg 0.500 0.500 0.204
18 Hg 0.500 0.500 0.402
19 Hg 0.500 0.500 0.598
20 Hg 0.500 0.500 0.796